1.
Computed powder X-ray diffraction pattern
Compound: K3Nb3Si2O13
Radiation: Cu Kα
Structure: a GGA-PBE-relaxed structure

Structural model:
Cell lengths 9.2574, 9.2574, 7.9245 Å; angles 90.00, 90.00, 120.00 degrees
Atoms (fractional coordinates):
1 K 0.0000 0.5955 0.0000
2 K 0.0000 0.6105 0.5000
3 K 0.3895 0.3895 0.5000
4 K 0.4045 0.4045 0.0000
5 K 0.5955 0.0000 0.0000
6 K 0.6105 0.0000 0.5000
7 Nb 0.0000 0.2379 0.2496
8 Nb 0.0000 0.2379 0.7504
9 Nb 0.2379 0.0000 0.2496
10 Nb 0.2379 0.0000 0.7504
11 Nb 0.7621 0.7621 0.2496
12 Nb 0.7621 0.7621 0.7504
13 Si 0.3333 0.6667 0.2910
14 Si 0.3333 0.6667 0.7090
15 Si 0.6667 0.3333 0.2910
16 Si 0.6667 0.3333 0.7090
17 O 0.0000 0.2322 0.0000
18 O 0.0000 0.2704 0.5000
19 O 0.0000 0.8261 0.2654
20 O 0.0000 0.8261 0.7346
21 O 0.1739 0.1739 0.2654
22 O 0.1739 0.1739 0.7346
23 O 0.1828 0.4866 0.2291
24 O 0.1828 0.4866 0.7709
25 O 0.2322 0.0000 0.0000
26 O 0.2704 0.0000 0.5000
27 O 0.3038 0.8172 0.2291
28 O 0.3038 0.8172 0.7709
29 O 0.3333 0.6667 0.5000
30 O 0.4866 0.1828 0.2291
31 O 0.4866 0.1828 0.7709
32 O 0.5134 0.6962 0.2291
33 O 0.5134 0.6962 0.7709
34 O 0.6667 0.3333 0.5000
35 O 0.6962 0.5134 0.2291
36 O 0.6962 0.5134 0.7709
37 O 0.7296 0.7296 0.5000
38 O 0.7678 0.7678 0.0000
39 O 0.8172 0.3038 0.2291
40 O 0.8172 0.3038 0.7709
41 O 0.8261 0.0000 0.2654
42 O 0.8261 0.0000 0.7346

Principal peaks in the range 10° ≤ 2θ ≤ 90°, sorted by position:
| 2theta | d (Å) | intensity |
| --- | --- | --- |
| 11.04 | 8.017 | 26 |
| 19.17 | 4.629 | 38 |
| 22.44 | 3.962 | 38 |
| 29.48 | 3.030 | 100 |
| 29.68 | 3.010 | 75 |
| 31.75 | 2.818 | 32 |
| 45.80 | 1.981 | 23 |
| 51.07 | 1.789 | 21 |
| 55.05 | 1.668 | 21 |
| 55.41 | 1.658 | 31 |

2.
Computed powder X-ray diffraction pattern
Compound: K4Nb2Si8O23
Radiation: Cu Kα
Structure: a GGA-PBE-relaxed structure

Structural model:
Cell lengths 6.8511, 7.9976, 11.1201 Å; angles 76.07, 89.77, 72.01 degrees
Atoms (fractional coordinates):
1 K 0.1719 0.3116 0.3572
2 K 0.2217 0.2525 0.0238
3 K 0.7783 0.7475 0.9762
4 K 0.8281 0.6884 0.6428
5 Nb 0.2867 0.7193 0.8007
6 Nb 0.7133 0.2807 0.1993
7 Si 0.0206 0.1766 0.7279
8 Si 0.3250 0.6957 0.4862
9 Si 0.3271 0.7010 0.1208
10 Si 0.4779 0.0956 0.7195
11 Si 0.5221 0.9044 0.2805
12 Si 0.6729 0.2990 0.8792
13 Si 0.6750 0.3043 0.5138
14 Si 0.9794 0.8234 0.2721
15 O 0.0553 0.9623 0.7570
16 O 0.0825 0.7425 0.1548
17 O 0.1132 0.5929 0.8547
18 O 0.1284 0.7004 0.3990
19 O 0.2349 0.2255 0.7048
20 O 0.2483 0.7253 0.6178
21 O 0.3474 0.7473 0.9728
22 O 0.4114 0.8448 0.1734
23 O 0.4233 0.8524 0.4149
24 O 0.4483 0.4893 0.1871
25 O 0.4939 0.1167 0.2446
26 O 0.5000 0.5000 0.5000
27 O 0.5061 0.8833 0.7554
28 O 0.5517 0.5107 0.8129
29 O 0.5767 0.1476 0.5851
30 O 0.5886 0.1552 0.8266
31 O 0.6526 0.2527 0.0272
32 O 0.7517 0.2747 0.3822
33 O 0.7651 0.7745 0.2952
34 O 0.8716 0.2996 0.6010
35 O 0.8868 0.4071 0.1453
36 O 0.9175 0.2575 0.8452
37 O 0.9447 0.0377 0.2430

Principal peaks in the range 10° ≤ 2θ ≤ 90°, sorted by position:
| 2theta | d (Å) | intensity |
| --- | --- | --- |
| 15.06 | 5.885 | 55 |
| 16.47 | 5.381 | 61 |
| 20.90 | 4.250 | 40 |
| 24.18 | 3.681 | 100 |
| 27.35 | 3.261 | 79 |
| 27.48 | 3.245 | 73 |
| 27.83 | 3.206 | 28 |
| 30.38 | 2.942 | 53 |
| 33.50 | 2.675 | 29 |
| 35.78 | 2.509 | 30 |

3.
Computed powder X-ray diffraction pattern
Compound: K3Nb3Si2O13
Radiation: Cu Kα
Structure: a GGA-PBE-relaxed structure

Structural model:
Cell lengths 9.2480, 9.2480, 7.9595 Å; angles 90.00, 90.00, 120.00 degrees
Atoms (fractional coordinates):
1 K 0.0322 0.4159 0.2500
2 K 0.3838 0.9678 0.2500
3 K 0.4159 0.0322 0.7500
4 K 0.5841 0.6162 0.2500
5 K 0.6162 0.5841 0.7500
6 K 0.9678 0.3838 0.7500
7 Nb 0.0000 0.7617 0.0000
8 Nb 0.0000 0.7617 0.5000
9 Nb 0.2383 0.2383 0.0000
10 Nb 0.2383 0.2383 0.5000
11 Nb 0.7617 0.0000 0.0000
12 Nb 0.7617 0.0000 0.5000
13 Si 0.3333 0.6667 0.5443
14 Si 0.3333 0.6667 0.9557
15 Si 0.6667 0.3333 0.0443
16 Si 0.6667 0.3333 0.4557
17 O 0.0000 0.1745 0.0000
18 O 0.0000 0.1745 0.5000
19 O 0.0123 0.7534 0.7500
20 O 0.1745 0.0000 0.0000
21 O 0.1745 0.0000 0.5000
22 O 0.1818 0.6938 0.0204
23 O 0.1818 0.6938 0.4796
24 O 0.2466 0.2589 0.7500
25 O 0.2589 0.2466 0.2500
26 O 0.3062 0.4880 0.0204
27 O 0.3062 0.4880 0.4796
28 O 0.3333 0.6667 0.7500
29 O 0.4880 0.3062 0.5204
30 O 0.4880 0.3062 0.9796
31 O 0.5120 0.8182 0.0204
32 O 0.5120 0.8182 0.4796
33 O 0.6667 0.3333 0.2500
34 O 0.6938 0.1818 0.5204
35 O 0.6938 0.1818 0.9796
36 O 0.7411 0.9877 0.7500
37 O 0.7534 0.0123 0.2500
38 O 0.8182 0.5120 0.5204
39 O 0.8182 0.5120 0.9796
40 O 0.8255 0.8255 0.0000
41 O 0.8255 0.8255 0.5000
42 O 0.9877 0.7411 0.2500

Principal peaks in the range 10° ≤ 2θ ≤ 90°, sorted by position:
| 2theta | d (Å) | intensity |
| --- | --- | --- |
| 11.05 | 8.009 | 24 |
| 19.19 | 4.624 | 40 |
| 22.34 | 3.980 | 39 |
| 24.97 | 3.565 | 24 |
| 29.51 | 3.027 | 100 |
| 29.62 | 3.016 | 73 |
| 31.68 | 2.824 | 39 |
| 45.59 | 1.990 | 24 |
| 51.06 | 1.789 | 23 |
| 55.24 | 1.663 | 31 |

4.
Computed powder X-ray diffraction pattern
Compound: K2Sr2NbO6
Radiation: Cu Kα
Structure: a GGA-PBE-relaxed structure

Structural model:
Cell lengths 6.1130, 6.1130, 6.6149 Å; angles 98.58, 98.58, 118.75 degrees
Atoms (fractional coordinates):
1 K 0.1605 0.8395 0.0000
2 K 0.8395 0.1605 0.0000
3 Sr 0.3388 0.6612 0.5000
4 Sr 0.6612 0.3388 0.5000
5 Nb 0.0000 0.0000 0.5000
6 O 0.0478 0.3319 0.6776
7 O 0.2144 0.2144 0.3197
8 O 0.3319 0.0478 0.6776
9 O 0.6681 0.9522 0.3224
10 O 0.7856 0.7856 0.6803
11 O 0.9522 0.6681 0.3224

Principal peaks in the range 10° ≤ 2θ ≤ 90°, sorted by position:
| 2theta | d (Å) | intensity |
| --- | --- | --- |
| 14.00 | 6.325 | 94 |
| 17.11 | 5.182 | 12 |
| 28.22 | 3.162 | 27 |
| 29.56 | 3.022 | 17 |
| 30.01 | 2.977 | 20 |
| 30.84 | 2.899 | 36 |
| 34.77 | 2.580 | 100 |
| 44.44 | 2.039 | 13 |
| 48.86 | 1.864 | 20 |
| 51.14 | 1.786 | 20 |